[1]
For CuTe2, a DFT-relaxed cell (GGA-PBE, Alexandria) gives the theoretical powder X-ray diffraction pattern in this record (a wavelength of 1.5418 Å).
Intensities are scaled so that the largest is 100.

The 10 most intense peaks (2θ = 15–90°), sorted by position:
h k l  d (Å)  two_theta  I (rel.)
0 0 2  4.023  22.1  49
1 0 1  3.982  22.3  22
1 1 1  3.006  29.7  100
2 0 0  2.291  39.3  51
1 1 3  2.066  43.8  73
2 0 2  1.991  45.6  28
2 2 0  1.620  56.8  17
2 0 4  1.512  61.3  13
3 1 1  1.426  65.4  21
3 1 3  1.275  74.4  29

Atomic structure:
```
data_CuTe2
_cell_length_a 4.5824
_cell_length_b 4.5824
_cell_length_c 8.0450
_cell_angle_alpha 90.00
_cell_angle_beta 90.00
_cell_angle_gamma 90.00
_symmetry_space_group_name_H-M 'P 4/n m m'
_symmetry_Int_Tables_number 129
loop_
_symmetry_equiv_pos_as_xyz
'x,y,z'
'-x,-y,-z'
'-y+1/2,x,z'
'y+1/2,-x,-z'
'-x+1/2,-y+1/2,z'
'x+1/2,y+1/2,-z'
'y,-x+1/2,z'
'-y,x+1/2,-z'
'x+1/2,-y,-z'
'-x+1/2,y,z'
'-y,-x,-z'
'y,x,z'
'-x,y+1/2,-z'
'x,-y+1/2,z'
'y+1/2,x+1/2,-z'
'-y+1/2,-x+1/2,z'
loop_
_atom_site_label
_atom_site_fract_x
_atom_site_fract_y
_atom_site_fract_z
Cu1 0.2500 0.2500 0.1732
Te1 0.2500 0.2500 0.4888
Te2 0.2500 0.7500 0.0000
```

---

[2]
For Cu5Te7, a DFT-relaxed cell (GGA-PBE, Alexandria) gives the theoretical powder X-ray diffraction pattern in this record (a wavelength of 1.5418 Å).
Intensities are scaled so that the largest is 100.

The 10 most intense peaks (2θ = 15–90°), sorted by position:
h k l  d (Å)  two_theta  I (rel.)
2 0 0  5.720  15.5  100
1 0 1  5.591  15.8  52
2 1 1  3.999  22.2  67
4 0 0  2.860  31.3  34
3 2 1  2.844  31.5  29
4 1 1  2.546  35.2  21
2 2 2  2.512  35.7  19
3 1 2  2.399  37.5  25
4 0 2  2.134  42.4  58
4 4 0  2.022  44.8  39

Atomic structure:
```
data_Cu5Te7
_cell_length_a 11.4405
_cell_length_b 11.4405
_cell_length_c 6.4091
_cell_angle_alpha 90.00
_cell_angle_beta 90.00
_cell_angle_gamma 90.00
_symmetry_space_group_name_H-M 'I 4 m m'
_symmetry_Int_Tables_number 107
_symmetry_space_group_name_Hall 'I 4 -2'
loop_
_atom_site_label
_atom_site_fract_x
_atom_site_fract_y
_atom_site_fract_z
Cu1 0.0000 0.0000 0.0000
Cu2 0.1114 0.1114 0.6960
Te1 0.0000 0.0000 0.3963
Te2 0.0000 0.2509 0.9352
Te3 0.0000 0.5000 0.3110
```

---

[3]
For Cu7Te5, a DFT-relaxed cell (GGA-PBE, Alexandria) gives the theoretical powder X-ray diffraction pattern in this record (a wavelength of 1.5418 Å).
Intensities are scaled so that the largest is 100.

The 10 most intense peaks (2θ = 15–90°), sorted by position:
h k l  d (Å)  two_theta  I (rel.)
2 0 2  3.481  25.6  47
2 0 -3  3.147  28.4  57
3 1 -1  2.883  31.0  71
3 1 1  2.653  33.8  100
1 1 -3  2.509  35.8  29
5 1 -2  2.106  42.9  39
1 1 -4  2.077  43.6  44
5 1 1  2.013  45.0  31
6 0 1  1.990  45.6  31
0 2 0  1.957  46.4  87

Atomic structure:
```
data_Cu7Te5
_cell_length_a 13.1321
_cell_length_b 3.9103
_cell_length_c 9.8144
_cell_angle_alpha 90.00
_cell_angle_beta 102.80
_cell_angle_gamma 90.00
_symmetry_space_group_name_H-M 'C 1 2/m 1'
_symmetry_Int_Tables_number 12
loop_
_symmetry_equiv_pos_as_xyz
'x,y,z'
'-x,-y,-z'
'-x,y,-z'
'x,-y,z'
'x+1/2,y+1/2,z'
'-x+1/2,-y+1/2,-z'
'-x+1/2,y+1/2,-z'
'x+1/2,-y+1/2,z'
loop_
_atom_site_label
_atom_site_fract_x
_atom_site_fract_y
_atom_site_fract_z
Cu1 0.0000 0.0000 0.0000
Cu2 0.0735 0.5000 0.1822
Cu3 0.1414 0.0000 0.5672
Cu4 0.2351 0.0000 0.8246
Te1 0.0000 0.5000 0.5000
Te2 0.1249 0.5000 0.9182
Te3 0.1952 0.0000 0.3239
```

---

[4]
For ThCu2Te6, a DFT-relaxed cell (GGA-PBE, Alexandria) gives the theoretical powder X-ray diffraction pattern in this record (a wavelength of 1.5418 Å).
Intensities are scaled so that the largest is 100.

The 10 most intense peaks (2θ = 15–90°), sorted by position:
h k l  d (Å)  two_theta  I (rel.)
0 0 2  3.785  23.5  88
4 0 -2  3.406  26.2  48
1 3 0  3.279  27.2  79
1 1 2  3.104  28.8  100
4 2 -1  3.017  29.6  66
5 1 -1  2.857  31.3  62
5 1 -3  2.433  37.0  40
0 4 1  2.406  37.4  96
5 3 -2  2.203  41.0  38
2 0 -4  2.097  43.1  38

Atomic structure:
```
data_ThCu2Te6
_cell_length_a 15.0152
_cell_length_b 10.1524
_cell_length_c 8.5614
_cell_angle_alpha 90.00
_cell_angle_beta 117.85
_cell_angle_gamma 90.00
_symmetry_space_group_name_H-M 'C 1 2/c 1'
_symmetry_Int_Tables_number 15
loop_
_symmetry_equiv_pos_as_xyz
'x,y,z'
'-x,-y,-z'
'-x,y,-z+1/2'
'x,-y,z+1/2'
'x+1/2,y+1/2,z'
'-x+1/2,-y+1/2,-z'
'-x+1/2,y+1/2,-z+1/2'
'x+1/2,-y+1/2,z+1/2'
loop_
_atom_site_label
_atom_site_fract_x
_atom_site_fract_y
_atom_site_fract_z
Th1 0.0000 0.1577 0.2500
Cu1 0.2018 0.4524 0.2457
Te1 0.0967 0.4410 0.4092
Te2 0.1117 0.0973 0.6711
Te3 0.1935 0.1752 0.1942
```

---

[5]
For Th2CuTe6, a DFT-relaxed cell (GGA-PBE, Alexandria) gives the theoretical powder X-ray diffraction pattern in this record (a wavelength of 1.5418 Å).
Intensities are scaled so that the largest is 100.

The 10 most intense peaks (2θ = 15–90°), sorted by position:
h k l  d (Å)  two_theta  I (rel.)
0 1 2  3.360  26.5  100
2 0 0  3.088  28.9  26
2 0 -2  2.861  31.3  18
2 0 1  2.840  31.5  24
1 1 2  2.832  31.6  16
2 1 0  2.527  35.5  39
2 1 -2  2.398  37.5  24
1 1 3  2.386  37.7  25
0 2 0  2.197  41.1  27
0 0 6  1.738  52.7  17

Atomic structure:
```
data_Th2CuTe6
_cell_length_a 6.2499
_cell_length_b 4.3939
_cell_length_c 10.5624
_cell_angle_alpha 90.00
_cell_angle_beta 99.11
_cell_angle_gamma 90.00
_symmetry_space_group_name_H-M 'P 1 m 1'
_symmetry_Int_Tables_number 6
loop_
_symmetry_equiv_pos_as_xyz
'x,y,z'
'x,-y,z'
loop_
_atom_site_label
_atom_site_fract_x
_atom_site_fract_y
_atom_site_fract_z
Th1 0.0000 0.0000 0.0000
Th2 0.4136 0.5000 0.6717
Cu1 0.1150 0.5000 0.3732
Te1 0.0946 0.0000 0.5051
Te2 0.2969 0.5000 0.1674
Te3 0.4723 0.0000 0.8951
Te4 0.6026 0.0000 0.5000
Te5 0.8006 0.5000 0.1729
Te6 0.9406 0.5000 0.7772
```

---

[6]
For TiCuTe4, a DFT-relaxed cell (GGA-PBE, Alexandria) gives the theoretical powder X-ray diffraction pattern in this record (a wavelength of 1.5418 Å).
Intensities are scaled so that the largest is 100.

The 10 most intense peaks (2θ = 15–90°), sorted by position:
h k l  d (Å)  two_theta  I (rel.)
0 1 1  3.449  25.8  21
1 0 -2  3.092  28.9  28
1 0 2  3.060  29.2  63
1 1 -1  2.984  29.9  100
1 1 1  2.969  30.1  21
2 1 -1  2.246  40.1  24
2 1 1  2.234  40.4  25
0 1 3  2.050  44.2  39
0 2 0  1.964  46.2  34
1 2 2  1.653  55.6  20

Atomic structure:
```
data_TiCuTe4
_cell_length_a 5.8936
_cell_length_b 3.9269
_cell_length_c 7.2121
_cell_angle_alpha 90.00
_cell_angle_beta 90.66
_cell_angle_gamma 90.00
_symmetry_space_group_name_H-M 'P 1 2/m 1'
_symmetry_Int_Tables_number 10
loop_
_symmetry_equiv_pos_as_xyz
'x,y,z'
'-x,-y,-z'
'-x,y,-z'
'x,-y,z'
loop_
_atom_site_label
_atom_site_fract_x
_atom_site_fract_y
_atom_site_fract_z
Ti1 0.0000 0.0000 0.0000
Cu1 0.0000 0.5000 0.5000
Te1 0.2098 0.0000 0.3420
Te2 0.2993 0.5000 0.8729
```

---

[7]
For Tl3Cu4Te4, a DFT-relaxed cell (GGA-PBE, Alexandria) gives the theoretical powder X-ray diffraction pattern in this record (a wavelength of 1.5418 Å).
Intensities are scaled so that the largest is 100.

The 10 most intense peaks (2θ = 15–90°), sorted by position:
h k l  d (Å)  two_theta  I (rel.)
0 1 3  3.376  26.4  38
2 0 4  3.009  29.7  56
2 1 1  2.967  30.1  27
2 1 3  2.656  33.7  100
4 0 0  2.151  42.0  26
0 2 0  2.113  42.8  26
0 1 7  2.091  43.3  25
2 2 4  1.729  53.0  22
4 2 0  1.507  61.5  16
4 1 7  1.499  61.9  16

Atomic structure:
```
data_Tl3Cu4Te4
_cell_length_a 8.6039
_cell_length_b 4.2255
_cell_length_c 16.8407
_cell_angle_alpha 90.00
_cell_angle_beta 90.00
_cell_angle_gamma 90.00
_symmetry_space_group_name_H-M 'A m m 2'
_symmetry_Int_Tables_number 38
loop_
_symmetry_equiv_pos_as_xyz
'x,y,z'
'-x,-y,z'
'-x,y,z'
'x,-y,z'
'x,y+1/2,z+1/2'
'-x,-y+1/2,z+1/2'
'-x,y+1/2,z+1/2'
'x,-y+1/2,z+1/2'
loop_
_atom_site_label
_atom_site_fract_x
_atom_site_fract_y
_atom_site_fract_z
Tl1 0.0000 0.0000 0.0000
Tl2 0.2538 0.0000 0.8425
Cu1 0.0000 0.0000 0.6463
Cu2 0.2483 0.0000 0.1532
Cu3 0.5000 0.0000 0.6606
Te1 0.0000 0.0000 0.2487
Te2 0.2705 0.0000 0.5586
Te3 0.5000 0.0000 0.2543
```

---

[8]
For Tl4Cu5Te6, a DFT-relaxed cell (GGA-PBE, Alexandria) gives the theoretical powder X-ray diffraction pattern in this record (a wavelength of 1.5418 Å).
Intensities are scaled so that the largest is 100.

The 10 most intense peaks (2θ = 15–90°), sorted by position:
h k l  d (Å)  two_theta  I (rel.)
1 3 1  3.593  24.8  35
0 4 4  3.422  26.0  46
1 5 0  3.140  28.4  100
1 5 2  2.938  30.4  47
0 4 5  2.912  30.7  86
0 6 4  2.889  31.0  26
1 3 4  2.756  32.5  45
1 1 5  2.578  34.8  33
2 0 0  2.070  43.7  47
2 4 5  1.687  54.4  25

Atomic structure:
```
data_Tl4Cu5Te6
_cell_length_a 4.1398
_cell_length_b 24.0978
_cell_length_c 16.6300
_cell_angle_alpha 90.00
_cell_angle_beta 90.00
_cell_angle_gamma 90.00
_symmetry_space_group_name_H-M 'C m c 21'
_symmetry_Int_Tables_number 36
loop_
_symmetry_equiv_pos_as_xyz
'x,y,z'
'-x,-y,z+1/2'
'-x,y,z'
'x,-y,z+1/2'
'x+1/2,y+1/2,z'
'-x+1/2,-y+1/2,z+1/2'
'-x+1/2,y+1/2,z'
'x+1/2,-y+1/2,z+1/2'
loop_
_atom_site_label
_atom_site_fract_x
_atom_site_fract_y
_atom_site_fract_z
Tl1 0.0000 0.0065 0.0000
Tl2 0.0000 0.0130 0.7287
Tl3 0.0000 0.1740 0.6744
Tl4 0.0000 0.1922 0.0705
Cu1 0.0000 0.1341 0.3611
Cu2 0.0000 0.2956 0.3781
Cu3 0.0000 0.3466 0.7535
Cu4 0.0000 0.3566 0.9749
Cu5 0.0000 0.3764 0.4742
Te1 0.0000 0.1325 0.8742
Te2 0.0000 0.2102 0.4765
Te3 0.0000 0.2211 0.2635
Te4 0.0000 0.4098 0.6206
Te5 0.0000 0.4163 0.1056
Te6 0.0000 0.4314 0.8572
```

---

[9]
For Tl2CuTe2, a DFT-relaxed cell (GGA-PBE, Alexandria) gives the theoretical powder X-ray diffraction pattern in this record (a wavelength of 1.5418 Å).
Intensities are scaled so that the largest is 100.

The 10 most intense peaks (2θ = 15–90°), sorted by position:
h k l  d (Å)  two_theta  I (rel.)
0 4 1  3.769  23.6  34
1 3 0  3.404  26.2  39
1 3 1  3.178  28.1  100
1 1 2  3.035  29.4  37
0 2 3  2.781  32.2  63
1 3 2  2.699  33.2  40
1 5 1  2.526  35.5  43
1 1 3  2.409  37.3  35
2 0 0  2.155  41.9  33
2 2 3  1.703  53.8  32

Atomic structure:
```
data_Tl2CuTe2
_cell_length_a 4.3102
_cell_length_b 16.6517
_cell_length_c 8.8534
_cell_angle_alpha 90.00
_cell_angle_beta 90.00
_cell_angle_gamma 90.00
_symmetry_space_group_name_H-M 'C m c 21'
_symmetry_Int_Tables_number 36
loop_
_symmetry_equiv_pos_as_xyz
'x,y,z'
'-x,-y,z+1/2'
'-x,y,z'
'x,-y,z+1/2'
'x+1/2,y+1/2,z'
'-x+1/2,-y+1/2,z+1/2'
'-x+1/2,y+1/2,z'
'x+1/2,-y+1/2,z+1/2'
loop_
_atom_site_label
_atom_site_fract_x
_atom_site_fract_y
_atom_site_fract_z
Tl1 0.0000 0.0648 0.0000
Tl2 0.0000 0.2042 0.3087
Cu1 0.0000 0.4286 0.1267
Te1 0.0000 0.1599 0.6616
Te2 0.0000 0.4492 0.8185
```

---

[10]
For Tl2CuTe5, a DFT-relaxed cell (GGA-PBE, Alexandria) gives the theoretical powder X-ray diffraction pattern in this record (a wavelength of 1.5418 Å).
Intensities are scaled so that the largest is 100.

The 10 most intense peaks (2θ = 15–90°), sorted by position:
h k l  d (Å)  two_theta  I (rel.)
1 1 -1  5.234  16.9  25
1 1 1  3.766  23.6  62
3 1 -1  3.461  25.7  100
2 2 0  3.225  27.7  89
0 0 2  2.913  30.7  63
2 2 -2  2.617  34.3  87
1 3 -1  2.600  34.5  34
4 0 0  2.485  36.1  39
1 3 1  2.345  38.4  38
0 4 2  1.714  53.5  27

Atomic structure:
```
data_Tl2CuTe5
_cell_length_a 11.4190
_cell_length_b 8.4755
_cell_length_c 6.6929
_cell_angle_alpha 90.00
_cell_angle_beta 119.48
_cell_angle_gamma 90.00
_symmetry_space_group_name_H-M 'C 1 m 1'
_symmetry_Int_Tables_number 8
loop_
_symmetry_equiv_pos_as_xyz
'x,y,z'
'x,-y,z'
'x+1/2,y+1/2,z'
'x+1/2,-y+1/2,z'
loop_
_atom_site_label
_atom_site_fract_x
_atom_site_fract_y
_atom_site_fract_z
Tl1 0.0000 0.0000 0.0000
Tl2 0.0073 0.5000 0.5215
Cu1 0.2763 0.5000 0.3977
Te1 0.2354 0.3139 0.0511
Te2 0.2444 0.2223 0.5103
Te3 0.3240 0.0000 0.9181
```

---

[11]
For TlCu3Te2, a DFT-relaxed cell (GGA-PBE, Alexandria) gives the theoretical powder X-ray diffraction pattern in this record (a wavelength of 1.5418 Å).
Intensities are scaled so that the largest is 100.

The 10 most intense peaks (2θ = 15–90°), sorted by position:
h k l  d (Å)  two_theta  I (rel.)
0 2 -2  3.442  25.9  70
1 -2 0  3.190  28.0  100
1 0 -2  3.121  28.6  50
0 2 1  3.057  29.2  45
1 -1 2  2.968  30.1  50
1 1 1  2.806  31.9  83
1 0 -3  2.440  36.8  39
2 -1 0  2.108  42.9  67
0 4 -1  1.996  45.5  50
0 1 -5  1.746  52.4  41

Atomic structure:
```
data_TlCu3Te2
_cell_length_a 4.2228
_cell_length_b 8.2359
_cell_length_c 8.8244
_cell_angle_alpha 109.03
_cell_angle_beta 93.01
_cell_angle_gamma 102.38
_symmetry_space_group_name_H-M 'P -1'
_symmetry_Int_Tables_number 2
loop_
_symmetry_equiv_pos_as_xyz
'x,y,z'
'-x,-y,-z'
loop_
_atom_site_label
_atom_site_fract_x
_atom_site_fract_y
_atom_site_fract_z
Tl1 0.1166 0.2715 0.0610
Cu1 0.0981 0.1231 0.4214
Cu2 0.2995 0.6118 0.5314
Cu3 0.3646 0.8407 0.3976
Te1 0.2290 0.3957 0.6920
Te2 0.4569 0.9523 0.7658
```

---

[12]
For Tl3Cu2Te2, a DFT-relaxed cell (GGA-PBE, Alexandria) gives the theoretical powder X-ray diffraction pattern in this record (a wavelength of 1.5418 Å).
Intensities are scaled so that the largest is 100.

The 10 most intense peaks (2θ = 15–90°), sorted by position:
h k l  d (Å)  two_theta  I (rel.)
2 0 0  3.400  26.2  33
2 1 0  3.171  28.1  43
0 2 3  3.122  28.6  65
1 1 4  2.830  31.6  100
1 3 0  2.691  33.3  44
1 3 1  2.637  34.0  63
2 1 3  2.580  34.8  38
2 2 3  2.300  39.2  41
0 4 4  1.834  49.7  20
1 3 7  1.552  59.5  20

Atomic structure:
```
data_Tl3Cu2Te2
_cell_length_a 6.8002
_cell_length_b 8.7900
_cell_length_c 13.3055
_cell_angle_alpha 90.00
_cell_angle_beta 90.00
_cell_angle_gamma 90.00
_symmetry_space_group_name_H-M 'P b c m'
_symmetry_Int_Tables_number 57
loop_
_symmetry_equiv_pos_as_xyz
'x,y,z'
'-x,-y,-z'
'-x,-y,z+1/2'
'x,y,-z+1/2'
'x,-y+1/2,-z'
'-x,y+1/2,z'
'-x,y+1/2,-z+1/2'
'x,-y+1/2,z+1/2'
loop_
_atom_site_label
_atom_site_fract_x
_atom_site_fract_y
_atom_site_fract_z
Tl1 0.1685 0.1362 0.1071
Tl2 0.2765 0.6826 0.7500
Cu1 0.4202 0.0374 0.5810
Te1 0.2329 0.0580 0.7500
Te2 0.3540 0.7500 0.0000
```

---

Question: Number 8 is which compound?
Answer: Tl4Cu5Te6

---

Question: Number 5 is which compound?
Answer: Th2CuTe6